Diffraction record for LaV2O2. The powder XRD pattern is calculated, not measured: it uses a DFT-relaxed cell (PBE+U, Alexandria) and copper Kα.
Kinematic intensities with the Lorentz-polarization factor, no thermal factor.

Main lines, sorted by position (2θ from 10° to 90°):
2θ (°)  I/Imax
13.68  23
24.87  19
27.55  49
29.13  53
29.39  100
35.99  26
42.05  30
47.12  36
47.36  16
51.02  29
51.97  15
61.03  22

Structure:
Cell lengths 8.5945, 8.5945, 9.8441 Å; angles 90.00, 90.00, 90.00 degrees
Space group I4_1/amd (No. 141, origin choice 2)
One atom of each set of equivalent atoms:
La (0.0000, 0.0000, 0.0000) [8 per cell]
V (0.0000, 0.0474, 0.3711) [16 per cell]
O (0.0000, 0.0903, 0.7669) [16 per cell]